Diffraction record for BaYMgMnCuO5. The X-ray powder pattern is simulated, not measured: it uses a crystal structure in the Materials Project, relaxed with PBE+U and Cu Kα, 1.54184 Å.
Intensities are scaled so that the largest is 100.

Principal peaks in the range 15 to 90 degrees two-theta, low angle first:
19.29°, rel. 50; 21.49°, rel. 21; 27.33°, rel. 53; 31.32°, rel. 100; 35.09°, rel. 44; 37.03°, rel. 62; 38.40°, rel. 48; 38.91°, rel. 52; 50.22°, rel. 24; 55.82°, rel. 30

Cell lengths 3.6336, 4.6288, 9.2025 Å; angles 90.00, 90.00, 90.00 degrees
Element x y z (fractional)
Ba 0.0000 0.0000 0.0000
Y 0.0000 0.0000 0.5769
Mg 0.0000 0.5000 0.2744
Mn 0.5000 0.5000 0.7899
Cu 0.5000 0.5000 0.5065
O 0.0000 0.5000 0.4991
O 0.0000 0.5000 0.8752
O 0.5000 0.0000 0.4379
O 0.5000 0.0000 0.7650
O 0.5000 0.5000 0.1803

Diffraction record for LaZnFeBiO6. The X-ray powder pattern is simulated, not measured: it uses a crystal structure in the Materials Project, relaxed with PBE+U and Cu Kα, 1.54184 Å.
Intensities are scaled so that the largest is 100.

Principal peaks in the range 15 to 90 degrees two-theta, low angle first:
18.05°, rel. 37; 26.47°, rel. 36; 28.69°, rel. 28; 30.86°, rel. 100; 31.23°, rel. 88; 32.19°, rel. 50; 32.99°, rel. 54; 45.29°, rel. 30; 49.49°, rel. 28; 56.98°, rel. 31

Cell lengths 5.5627, 6.2222, 9.6822 Å; angles 90.00, 124.19, 90.00 degrees
Element x y z (fractional)
La 0.0000 0.1671 0.0000
La 0.0000 0.8329 0.5000
Zn 0.5181 0.1290 0.5135
Zn 0.5181 0.8710 0.0135
Fe 0.2583 0.2731 0.7433
Fe 0.2583 0.7269 0.2433
Bi 0.7754 0.3053 0.2576
Bi 0.7754 0.6947 0.7576
O 0.0473 0.4607 0.1840
O 0.0473 0.5393 0.6840
O 0.1768 0.2073 0.5129
O 0.1768 0.7927 0.0129
O 0.4185 0.2316 0.9880
O 0.4185 0.7684 0.4880
O 0.5238 0.0736 0.3117
O 0.5238 0.9264 0.8117
O 0.6308 0.3933 0.7948
O 0.6308 0.6067 0.2948
O 0.9300 0.0607 0.6928
O 0.9300 0.9393 0.1928

Diffraction record for CaLa2WO6. The X-ray powder pattern is simulated, not measured: it uses a crystal structure in the Materials Project, relaxed with PBE+U and Cu Kα, 1.54184 Å.
Intensities are scaled so that the largest is 100.

Principal peaks in the range 15 to 90 degrees two-theta, low angle first:
18.19°, rel. 50; 29.79°, rel. 100; 30.54°, rel. 96; 36.10°, rel. 19; 43.19°, rel. 47; 52.87°, rel. 29; 53.35°, rel. 43; 54.75°, rel. 14; 61.87°, rel. 14; 70.57°, rel. 16

Cell lengths 5.8573, 5.8573, 5.8573 Å; angles 61.60, 61.60, 61.60 degrees
Element x y z (fractional)
Ca 0.0000 0.0000 0.0000
La 0.2656 0.2656 0.2656
La 0.7344 0.7344 0.7344
W 0.5000 0.5000 0.5000
O 0.1545 0.3744 0.7169
O 0.2831 0.8455 0.6256
O 0.3744 0.7169 0.1545
O 0.6256 0.2831 0.8455
O 0.7169 0.1545 0.3744
O 0.8455 0.6256 0.2831

Diffraction record for V2CdO10. The X-ray powder pattern is simulated, not measured: it uses a crystal structure in the Materials Project, relaxed with PBE+U and Cu Kα, 1.54184 Å.
Intensities are scaled so that the largest is 100.

Principal peaks in the range 15 to 90 degrees two-theta, low angle first:
15.30°, rel. 100; 20.15°, rel. 96; 22.43°, rel. 82; 23.54°, rel. 27; 28.66°, rel. 42; 28.79°, rel. 41; 31.92°, rel. 30; 32.98°, rel. 49; 34.12°, rel. 29; 47.34°, rel. 25

Cell lengths 8.4941, 8.4941, 7.0008 Å; angles 109.27, 109.27, 75.94 degrees
Element x y z (fractional)
V 0.0323 0.9677 0.5000
V 0.1805 0.2466 0.9075
V 0.2466 0.1805 0.4075
V 0.9677 0.0323 0.0000
Cd 0.1044 0.6054 0.7000
Cd 0.6054 0.1044 0.2000
O 0.0058 0.0880 0.7741
O 0.0875 0.4405 0.8867
O 0.0880 0.0058 0.2741
O 0.1230 0.7724 0.5172
O 0.1250 0.2091 0.1344
O 0.2091 0.1250 0.6344
O 0.2520 0.3882 0.5380
O 0.3882 0.2520 0.0380
O 0.4120 0.6964 0.9253
O 0.4405 0.0875 0.3867
O 0.4897 0.6124 0.4323
O 0.5143 0.7935 0.9693
O 0.5850 0.7144 0.4791
O 0.6124 0.4897 0.9323
O 0.6964 0.4120 0.4253
O 0.7144 0.5850 0.9791
O 0.7724 0.1230 0.0172
O 0.7935 0.5143 0.4693
O 0.8243 0.9649 0.3708
O 0.9649 0.8243 0.8708